[1]
LiErSi2: simulated PXRD pattern (Cu Kα (weighted mean of Kα1 and Kα2)), based on the PBE geometry in Alexandria.

Most intense lines, 5 to 70 degrees two-theta, in order of rising 2θ:
2theta	d/Å	I/Imax
16.52	5.366	42
21.38	4.155	72
23.26	3.824	51
26.98	3.305	61
28.42	3.140	64
30.66	2.916	58
35.04	2.561	82
36.04	2.492	100

Atomic structure:
Lattice parameters (Å, degrees): 6.567 4.093 10.733 90.00 90.00 90.00
Fractional coordinates of all 16 atoms:
Li 0.140 0.250 0.054
Li 0.360 0.750 0.554
Li 0.640 0.250 0.446
Li 0.860 0.750 0.946
Er 0.151 0.250 0.343
Er 0.349 0.750 0.843
Er 0.651 0.250 0.157
Er 0.849 0.750 0.657
Si 0.028 0.250 0.832
Si 0.172 0.250 0.631
Si 0.328 0.750 0.131
Si 0.472 0.750 0.332
Si 0.528 0.250 0.668
Si 0.672 0.250 0.869
Si 0.828 0.750 0.369
Si 0.972 0.750 0.168

---

[2]
LiErSi: simulated PXRD pattern (Cu Kα (weighted mean of Kα1 and Kα2)), based on the PBE geometry in Alexandria.

Most intense lines, 5 to 70 degrees two-theta, in order of rising 2θ:
2theta	d/Å	I/Imax
19.67	4.514	44
22.32	3.983	100
22.45	3.960	33
26.64	3.347	42
33.57	2.670	59
34.18	2.624	55
36.70	2.449	82
36.99	2.430	41

Atomic structure:
Lattice parameters (Å, degrees): 6.971 4.227 11.879 90.00 90.18 90.00
Fractional coordinates of all 18 atoms:
Li 0.002 0.250 0.411
Li 0.153 0.750 0.959
Li 0.347 0.250 0.297
Li 0.653 0.750 0.703
Li 0.847 0.250 0.041
Li 0.998 0.750 0.589
Er 0.013 0.750 0.196
Er 0.337 0.250 0.579
Er 0.486 0.250 0.869
Er 0.514 0.750 0.131
Er 0.663 0.750 0.421
Er 0.987 0.250 0.804
Si 0.235 0.250 0.072
Si 0.243 0.750 0.406
Si 0.268 0.750 0.748
Si 0.732 0.250 0.252
Si 0.757 0.250 0.594
Si 0.765 0.750 0.928

---

[3]
LiEr3Sn12: simulated PXRD pattern (Cu Kα (weighted mean of Kα1 and Kα2)), based on the PBE geometry in Alexandria.

Most intense lines, 5 to 70 degrees two-theta, in order of rising 2θ:
2theta	d/Å	I/Imax
33.13	2.704	100
37.70	2.386	17
38.81	2.320	33
55.22	1.663	24
56.05	1.641	12
65.18	1.431	15
66.68	1.403	28
69.54	1.352	12

Atomic structure:
Lattice parameters (Å, degrees): 4.641 4.641 19.087 90.00 90.00 90.00
Fractional coordinates of all 16 atoms:
Li 0.000 0.000 0.000
Er 0.000 0.000 0.253
Er 0.000 0.000 0.500
Er 0.000 0.000 0.747
Sn 0.000 0.500 0.121
Sn 0.000 0.500 0.374
Sn 0.000 0.500 0.626
Sn 0.000 0.500 0.879
Sn 0.500 0.000 0.121
Sn 0.500 0.000 0.374
Sn 0.500 0.000 0.626
Sn 0.500 0.000 0.879
Sn 0.500 0.500 0.000
Sn 0.500 0.500 0.246
Sn 0.500 0.500 0.500
Sn 0.500 0.500 0.754

---

[4]
LiEr6Te8: simulated PXRD pattern (Cu Kα (weighted mean of Kα1 and Kα2)), based on the PBE geometry in Alexandria.

Most intense lines, 5 to 70 degrees two-theta, in order of rising 2θ:
2theta	d/Å	I/Imax
14.55	6.086	14
20.64	4.304	13
29.35	3.043	100
32.91	2.722	8
41.99	2.152	76
52.05	1.757	27
60.88	1.522	13
69.01	1.361	35

Atomic structure:
Lattice parameters (Å, degrees): 8.608 8.608 8.608 60.00 60.00 60.00
Fractional coordinates of all 15 atoms:
Li 0.000 0.000 0.000
Er 0.000 0.000 0.500
Er 0.000 0.500 0.000
Er 0.000 0.500 0.500
Er 0.500 0.000 0.000
Er 0.500 0.000 0.500
Er 0.500 0.500 0.000
Te 0.250 0.250 0.250
Te 0.250 0.250 0.750
Te 0.250 0.750 0.250
Te 0.250 0.750 0.750
Te 0.750 0.250 0.250
Te 0.750 0.250 0.750
Te 0.750 0.750 0.250
Te 0.750 0.750 0.750

---

[5]
LiYErTe3: simulated PXRD pattern (Cu Kα (weighted mean of Kα1 and Kα2)), based on the PBE geometry in Alexandria.

Most intense lines, 5 to 70 degrees two-theta, in order of rising 2θ:
2theta	d/Å	I/Imax
9.64	9.174	22
29.20	3.058	39
29.73	3.005	100
35.78	2.509	23
38.33	2.348	17
38.48	2.339	22
40.86	2.209	22
43.01	2.103	19

Atomic structure:
Lattice parameters (Å, degrees): 8.835 4.206 9.448 90.00 103.83 90.00
Fractional coordinates of all 12 atoms:
Li 0.085 0.250 0.085
Li 0.915 0.750 0.915
Y 0.187 0.250 0.732
Y 0.813 0.750 0.268
Er 0.332 0.750 0.336
Er 0.668 0.250 0.664
Te 0.090 0.250 0.377
Te 0.238 0.750 0.997
Te 0.424 0.750 0.672
Te 0.576 0.250 0.328
Te 0.762 0.250 0.003
Te 0.910 0.750 0.623

---

[6]
Li4ErTl5: simulated PXRD pattern (Cu Kα (weighted mean of Kα1 and Kα2)), based on the PBE geometry in Alexandria.

Most intense lines, 5 to 70 degrees two-theta, in order of rising 2θ:
2theta	d/Å	I/Imax
5.03	17.563	22
25.01	3.561	67
25.36	3.513	27
35.66	2.518	58
35.91	2.501	100
44.26	2.046	25
51.34	1.780	26
64.21	1.450	40

Atomic structure:
Lattice parameters (Å, degrees): 3.561 3.561 17.563 90.00 90.00 90.00
Fractional coordinates of all 10 atoms:
Li 0.000 0.000 0.099
Li 0.000 0.000 0.290
Li 0.000 0.000 0.710
Li 0.000 0.000 0.901
Er 0.000 0.000 0.500
Tl 0.500 0.500 0.000
Tl 0.500 0.500 0.195
Tl 0.500 0.500 0.382
Tl 0.500 0.500 0.618
Tl 0.500 0.500 0.805

---

[7]
LiEr2Tl8: simulated PXRD pattern (Cu Kα (weighted mean of Kα1 and Kα2)), based on the PBE geometry in Alexandria.

Most intense lines, 5 to 70 degrees two-theta, in order of rising 2θ:
2theta	d/Å	I/Imax
29.79	2.999	34
33.97	2.639	100
36.16	2.484	16
37.12	2.422	50
52.79	1.734	22
53.51	1.713	18
64.91	1.437	32
66.07	1.414	18

Atomic structure:
Lattice parameters (Å, degrees): 4.844 4.844 12.421 90.00 90.00 90.00
Fractional coordinates of all 11 atoms:
Li 0.000 0.000 0.000
Er 0.000 0.000 0.315
Er 0.000 0.000 0.685
Tl 0.000 0.500 0.131
Tl 0.000 0.500 0.500
Tl 0.000 0.500 0.869
Tl 0.500 0.000 0.131
Tl 0.500 0.000 0.500
Tl 0.500 0.000 0.869
Tl 0.500 0.500 0.313
Tl 0.500 0.500 0.687

---

[8]
LiEr6Tl2: simulated PXRD pattern (Cu Kα (weighted mean of Kα1 and Kα2)), based on the PBE geometry in Alexandria.

Most intense lines, 5 to 70 degrees two-theta, in order of rising 2θ:
2theta	d/Å	I/Imax
21.44	4.144	12
24.44	3.642	14
24.82	3.587	17
35.13	2.555	100
35.62	2.520	19
50.91	1.794	14
63.04	1.475	22
63.66	1.462	14

Atomic structure:
Lattice parameters (Å, degrees): 8.844 8.844 5.041 106.50 106.50 48.60
Fractional coordinates of all 9 atoms:
Li 0.000 0.000 0.000
Er 0.082 0.592 0.836
Er 0.244 0.756 0.500
Er 0.408 0.918 0.164
Er 0.592 0.082 0.836
Er 0.756 0.244 0.500
Er 0.918 0.408 0.164
Tl 0.333 0.333 0.332
Tl 0.667 0.667 0.668